Structure and simulated X-ray diffraction stick pattern of Rb2NpCdTe4 (a crystal structure in Alexandria, relaxed with GGA-PBE; a wavelength of 1.5418 Å).

Most intense lines, 2θ = 15–90°, sorted by position:
2θ 25.06, intensity 724
2θ 28.19, intensity 450
2θ 30.60, intensity 1000
2θ 39.48, intensity 239
2θ 41.75, intensity 176
2θ 42.85, intensity 131
2θ 43.29, intensity 224
2θ 45.30, intensity 192
2θ 46.94, intensity 210
2θ 51.43, intensity 132
2θ 55.83, intensity 132
2θ 70.92, intensity 171

Cell and atoms:
Cell: 7.4130 7.4130 7.4130 Å, 105.70 105.70 117.30°
Atoms (fractional coordinates):
Rb 0.0000 0.5000 0.5000
Rb 0.5000 0.0000 0.5000
Np 0.0000 0.0000 0.0000
Cd 0.5000 0.5000 0.0000
Te 0.0826 0.0826 0.6500
Te 0.4325 0.4325 0.3500
Te 0.5675 0.9174 0.0000
Te 0.9174 0.5675 0.0000